Entry 1:
Structure and calculated PXRD pattern of ZnGa3Au2 (a DFT-relaxed cell (GGA-PBE, Alexandria); Cu Kα, 1.54184 Å).

Cell and atoms:
```
data_ZnGa3Au2
_space_group_name_H-M_alt 'C m c 21'
_space_group_IT_number 36
_cell_length_a 12.3162
_cell_length_b 8.9284
_cell_length_c 4.3171
_cell_angle_alpha 90.00
_cell_angle_beta 90.00
_cell_angle_gamma 90.00
loop_
_space_group_symop_operation_xyz
'x,y,z'
'-x,-y,z+1/2'
'-x,y,z'
'x,-y,z+1/2'
'x+1/2,y+1/2,z'
'-x+1/2,-y+1/2,z+1/2'
'-x+1/2,y+1/2,z'
'x+1/2,-y+1/2,z+1/2'
loop_
_atom_site_label
_atom_site_type_symbol
_atom_site_fract_x
_atom_site_fract_y
_atom_site_fract_z
Zn1 Zn 0.0000 0.1075 0.0000
Ga1 Ga 0.0000 0.4232 0.4965
Ga2 Ga 0.2487 0.1007 0.0003
Au1 Au 0.1211 0.1718 0.5000
```

Peak list (10 most intense, 5° ≤ 2θ ≤ 70°, in order of rising 2θ)
2θ/deg, d (Å), Rel. int., index
12.2, 7.229, 40.8, 1 1 0
24.0, 3.706, 66.0, 1 1 1
30.9, 2.893, 32.5, 1 3 0
31.7, 2.822, 31.9, 3 1 1
35.4, 2.535, 21.9, 4 2 0
41.3, 2.186, 100.0, 4 2 1
41.9, 2.159, 31.9, 0 0 2
43.5, 2.081, 20.4, 5 1 1
45.8, 1.983, 31.5, 0 4 1
52.9, 1.730, 14.6, 1 3 2



Entry 2:
Structure and calculated PXRD pattern of Zn5GaAu6 (a DFT-relaxed cell (GGA-PBE, Alexandria); Cu Kα, 1.54184 Å).

Cell and atoms:
```
data_Zn5GaAu6
_space_group_name_H-M_alt 'C 1 2/m 1'
_space_group_IT_number 12
_cell_length_a 4.3905
_cell_length_b 13.2338
_cell_length_c 6.7843
_cell_angle_alpha 90.00
_cell_angle_beta 91.41
_cell_angle_gamma 90.00
loop_
_space_group_symop_operation_xyz
'x,y,z'
'-x,-y,-z'
'-x,y,-z'
'x,-y,z'
'x+1/2,y+1/2,z'
'-x+1/2,-y+1/2,-z'
'-x+1/2,y+1/2,-z'
'x+1/2,-y+1/2,z'
loop_
_atom_site_label
_atom_site_type_symbol
_atom_site_fract_x
_atom_site_fract_y
_atom_site_fract_z
Zn1 Zn 0.0000 0.0000 0.0000
Zn2 Zn 0.0000 0.3280 0.5000
Zn3 Zn 0.0000 0.3363 0.0000
Ga1 Ga 0.0000 0.0000 0.5000
Au1 Au 0.0012 0.5000 0.2556
Au2 Au 0.0041 0.1673 0.2439
```

Peak list (10 most intense, 5° ≤ 2θ ≤ 70°, in order of rising 2θ)
2θ/deg, d (Å), Rel. int., index
26.3, 3.391, 29.6, 0 0 2
28.7, 3.111, 48.5, 1 3 0
38.9, 2.313, 100.0, 1 3 -2
39.7, 2.273, 95.4, 1 3 2
40.9, 2.206, 43.7, 0 6 0
41.1, 2.195, 43.2, 2 0 0
49.3, 1.849, 11.6, 0 6 2
54.1, 1.696, 19.1, 0 0 4
59.4, 1.556, 29.0, 2 6 0
70.0, 1.344, 17.5, 0 6 4



Entry 3:
Structure and calculated PXRD pattern of Zn8GaAu4 (a DFT-relaxed cell (GGA-PBE, Alexandria); Cu Kα, 1.54184 Å).

Cell and atoms:
```
data_Zn8GaAu4
_space_group_name_H-M_alt 'P m m 2'
_space_group_IT_number 25
_cell_length_a 2.7634
_cell_length_b 4.2570
_cell_length_c 19.4470
_cell_angle_alpha 90.00
_cell_angle_beta 90.00
_cell_angle_gamma 90.00
loop_
_space_group_symop_operation_xyz
'x,y,z'
'-x,-y,z'
'-x,y,z'
'x,-y,z'
loop_
_atom_site_label
_atom_site_type_symbol
_atom_site_fract_x
_atom_site_fract_y
_atom_site_fract_z
Zn1 Zn 0.0000 0.0000 0.0000
Zn2 Zn 0.0000 0.0000 0.2540
Zn3 Zn 0.0000 0.5000 0.0890
Zn4 Zn 0.0000 0.5000 0.8180
Zn5 Zn 0.5000 0.0000 0.3890
Zn6 Zn 0.5000 0.0000 0.8570
Zn7 Zn 0.5000 0.5000 0.2995
Zn8 Zn 0.5000 0.5000 0.5552
Ga1 Ga 0.5000 0.5000 0.6976
Au1 Au 0.0000 0.0000 0.6268
Au2 Au 0.0000 0.5000 0.4373
Au3 Au 0.5000 0.0000 0.1326
Au4 Au 0.5000 0.5000 0.9506
```

Peak list (10 most intense, 5° ≤ 2θ ≤ 70°, in order of rising 2θ)
2θ/deg, d (Å), Rel. int., index
9.1, 9.723, 26.1, 0 0 2
18.2, 4.862, 21.7, 0 0 4
22.8, 3.899, 46.6, 0 1 2
27.5, 3.241, 20.9, 0 0 6
27.9, 3.203, 24.0, 0 1 4
40.0, 2.253, 42.0, 1 0 5
41.4, 2.183, 100.0, 1 1 3
42.5, 2.129, 36.6, 0 2 0
42.8, 2.111, 56.4, 0 1 8
59.8, 1.547, 23.8, 1 2 5



Entry 4:
Structure and calculated PXRD pattern of ZnGaAu4 (a DFT-relaxed cell (GGA-PBE, Alexandria); Cu Kα, 1.54184 Å).

Cell and atoms:
```
data_ZnGaAu4
_space_group_name_H-M_alt 'C m c 21'
_space_group_IT_number 36
_cell_length_a 3.2071
_cell_length_b 18.5152
_cell_length_c 7.2626
_cell_angle_alpha 90.00
_cell_angle_beta 90.00
_cell_angle_gamma 90.00
loop_
_space_group_symop_operation_xyz
'x,y,z'
'-x,-y,z+1/2'
'-x,y,z'
'x,-y,z+1/2'
'x+1/2,y+1/2,z'
'-x+1/2,-y+1/2,z+1/2'
'-x+1/2,y+1/2,z'
'x+1/2,-y+1/2,z+1/2'
loop_
_atom_site_label
_atom_site_type_symbol
_atom_site_fract_x
_atom_site_fract_y
_atom_site_fract_z
Zn1 Zn 0.0000 0.1914 0.0000
Ga1 Ga 0.0000 0.4377 0.0897
Au1 Au 0.0000 0.0416 0.2926
Au2 Au 0.0000 0.3066 0.2019
Au3 Au 0.0000 0.3234 0.8082
Au4 Au 0.0000 0.4245 0.4652
```

Peak list (10 most intense, 5° ≤ 2θ ≤ 70°, in order of rising 2θ)
2θ/deg, d (Å), Rel. int., index
31.4, 2.846, 54.9, 1 3 0
33.8, 2.650, 49.3, 1 3 1
38.3, 2.351, 29.8, 0 6 2
38.4, 2.342, 60.0, 0 2 3
38.9, 2.314, 57.6, 0 8 0
39.2, 2.300, 61.3, 1 5 1
40.3, 2.240, 100.0, 1 3 2
40.9, 2.205, 27.3, 0 8 1
45.0, 2.016, 51.8, 1 5 2
57.5, 1.604, 28.4, 2 0 0



Entry 5:
Structure and calculated PXRD pattern of Zn6Ga12Au (a DFT-relaxed cell (GGA-PBE, Alexandria); Cu Kα, 1.54184 Å).

Cell and atoms:
```
data_Zn6Ga12Au
_space_group_name_H-M_alt 'R -3'
_space_group_IT_number 148
_space_group_name_Hall '-R 3'
_cell_length_a 10.8826
_cell_length_b 10.8826
_cell_length_c 10.3063
_cell_angle_alpha 90.00
_cell_angle_beta 90.00
_cell_angle_gamma 120.00
loop_
_atom_site_label
_atom_site_type_symbol
_atom_site_fract_x
_atom_site_fract_y
_atom_site_fract_z
Zn1 Zn 0.0329 0.8762 0.1906
Ga1 Ga 0.0610 0.7934 0.9367
Ga2 Ga 0.0622 0.8003 0.4320
Au1 Au 0.0000 0.0000 0.5000
```

Peak list (10 most intense, 5° ≤ 2θ ≤ 70°, in order of rising 2θ)
2θ/deg, d (Å), Rel. int., index
25.9, 3.435, 28.5, 0 0 3
26.5, 3.367, 58.8, 3 -1 1
30.5, 2.930, 46.6, 1 2 2
30.8, 2.905, 44.1, 1 1 3
38.6, 2.331, 62.4, 3 1 2
42.2, 2.143, 47.1, 0 4 2
42.7, 2.116, 29.5, 5 -2 1
43.3, 2.088, 100.0, 3 -1 4
44.0, 2.057, 66.0, 4 1 0
45.5, 1.994, 50.1, 2 3 2



Entry 6:
Structure and calculated PXRD pattern of Zn2Ga2Au7 (a DFT-relaxed cell (GGA-PBE, Alexandria); Cu Kα, 1.54184 Å).

Cell and atoms:
```
data_Zn2Ga2Au7
_space_group_name_H-M_alt 'I m m 2'
_space_group_IT_number 44
_cell_length_a 4.3555
_cell_length_b 12.3061
_cell_length_c 7.1399
_cell_angle_alpha 90.00
_cell_angle_beta 90.00
_cell_angle_gamma 90.00
loop_
_space_group_symop_operation_xyz
'x,y,z'
'-x,-y,z'
'-x,y,z'
'x,-y,z'
'x+1/2,y+1/2,z+1/2'
'-x+1/2,-y+1/2,z+1/2'
'-x+1/2,y+1/2,z+1/2'
'x+1/2,-y+1/2,z+1/2'
loop_
_atom_site_label
_atom_site_type_symbol
_atom_site_fract_x
_atom_site_fract_y
_atom_site_fract_z
Zn1 Zn 0.0000 0.0000 0.0000
Zn2 Zn 0.0000 0.5000 0.1866
Ga1 Ga 0.0000 0.2031 0.2090
Au1 Au 0.0000 0.0000 0.3749
Au2 Au 0.0000 0.1392 0.7056
Au3 Au 0.0000 0.3432 0.9175
Au4 Au 0.0000 0.3658 0.4975
```

Peak list (10 most intense, 5° ≤ 2θ ≤ 70°, in order of rising 2θ)
2θ/deg, d (Å), Rel. int., index
29.0, 3.077, 12.6, 0 4 0
29.9, 2.986, 12.0, 1 3 0
33.3, 2.694, 23.7, 1 1 2
38.0, 2.370, 38.1, 1 4 1
38.5, 2.337, 22.5, 0 1 3
39.3, 2.290, 100.0, 1 3 2
41.5, 2.178, 34.4, 2 0 0
44.2, 2.051, 12.2, 0 6 0
57.9, 1.593, 15.0, 2 1 3
66.1, 1.414, 10.9, 0 7 3



Entry 7:
Structure and calculated PXRD pattern of Zr6Ga3Au (a DFT-relaxed cell (GGA-PBE, Alexandria); Cu Kα, 1.54184 Å).

Cell and atoms:
```
data_Zr6Ga3Au
_space_group_name_H-M_alt 'P n n m'
_space_group_IT_number 58
_cell_length_a 8.3415
_cell_length_b 10.7081
_cell_length_c 4.7378
_cell_angle_alpha 90.00
_cell_angle_beta 90.00
_cell_angle_gamma 90.00
loop_
_space_group_symop_operation_xyz
'x,y,z'
'-x,-y,-z'
'-x,-y,z'
'x,y,-z'
'x+1/2,-y+1/2,-z+1/2'
'-x+1/2,y+1/2,z+1/2'
'-x+1/2,y+1/2,-z+1/2'
'x+1/2,-y+1/2,z+1/2'
loop_
_atom_site_label
_atom_site_type_symbol
_atom_site_fract_x
_atom_site_fract_y
_atom_site_fract_z
Zr1 Zr 0.0020 0.2492 0.0000
Zr2 Zr 0.1609 0.0905 0.5000
Zr3 Zr 0.1760 0.4115 0.5000
Ga1 Ga 0.0000 0.0000 0.0000
Ga2 Ga 0.1668 0.7396 0.5000
Au1 Au 0.0000 0.5000 0.0000
```

Peak list (10 most intense, 5° ≤ 2θ ≤ 70°, in order of rising 2θ)
2θ/deg, d (Å), Rel. int., index
21.6, 4.120, 17.3, 1 0 1
33.0, 2.712, 28.4, 2 3 0
33.2, 2.698, 60.0, 1 3 1
37.5, 2.398, 100.0, 3 0 1
38.0, 2.369, 48.7, 0 0 2
40.0, 2.253, 22.6, 2 4 0
40.2, 2.245, 43.8, 1 4 1
51.2, 1.785, 31.2, 2 3 2
56.4, 1.633, 16.4, 2 4 2
68.3, 1.373, 16.8, 3 0 3



Entry 8:
Structure and calculated PXRD pattern of Zr2Ga3Au2 (a DFT-relaxed cell (GGA-PBE, Alexandria); Cu Kα, 1.54184 Å).

Cell and atoms:
```
data_Zr2Ga3Au2
_space_group_name_H-M_alt 'C m c m'
_space_group_IT_number 63
_space_group_name_Hall '-C 2c 2'
_cell_length_a 4.4494
_cell_length_b 19.3273
_cell_length_c 6.0494
_cell_angle_alpha 90.00
_cell_angle_beta 90.00
_cell_angle_gamma 90.00
loop_
_atom_site_label
_atom_site_type_symbol
_atom_site_fract_x
_atom_site_fract_y
_atom_site_fract_z
Zr1 Zr 0.0000 0.0235 0.2500
Zr2 Zr 0.0000 0.1410 0.7500
Ga1 Ga 0.0000 0.1717 0.2500
Ga2 Ga 0.0000 0.4332 0.0315
Au1 Au 0.0000 0.2952 0.0039
```

Peak list (10 most intense, 5° ≤ 2θ ≤ 70°, in order of rising 2θ)
2θ/deg, d (Å), Rel. int., index
9.2, 9.664, 100.0, 0 2 0
24.3, 3.661, 19.3, 1 3 0
31.0, 2.887, 24.4, 0 2 2
36.2, 2.481, 77.1, 1 1 2
38.4, 2.346, 83.1, 1 7 0
38.6, 2.332, 39.5, 1 3 2
40.5, 2.225, 51.3, 2 0 0
43.1, 2.100, 46.1, 1 5 2
48.2, 1.888, 18.5, 0 8 2
49.1, 1.854, 20.7, 1 7 2



Entry 9:
Structure and calculated PXRD pattern of Zr2Ga3Au (a DFT-relaxed cell (GGA-PBE, Alexandria); Cu Kα, 1.54184 Å).

Cell and atoms:
```
data_Zr2Ga3Au
_space_group_name_H-M_alt 'F m m m'
_space_group_IT_number 69
_space_group_name_Hall '-F 2 2'
_cell_length_a 6.4942
_cell_length_b 8.8012
_cell_length_c 15.3398
_cell_angle_alpha 90.00
_cell_angle_beta 90.00
_cell_angle_gamma 90.00
loop_
_atom_site_label
_atom_site_type_symbol
_atom_site_fract_x
_atom_site_fract_y
_atom_site_fract_z
Zr1 Zr 0.2492 0.0000 0.0000
Zr2 Zr 0.2500 0.2500 0.2500
Ga1 Ga 0.0000 0.0000 0.1656
Ga2 Ga 0.0000 0.2489 0.0828
Au1 Au 0.0000 0.0000 0.3331
```

Peak list (10 most intense, 5° ≤ 2θ ≤ 70°, in order of rising 2θ)
2θ/deg, d (Å), Rel. int., index
17.9, 4.946, 8.3, 1 1 1
24.4, 3.655, 18.0, 1 1 3
27.5, 3.247, 11.7, 2 0 0
36.3, 2.475, 100.0, 2 2 2
40.8, 2.211, 56.2, 0 2 6
41.0, 2.200, 27.7, 0 4 0
49.9, 1.827, 9.5, 2 2 6
55.7, 1.651, 11.6, 2 0 8
55.9, 1.645, 18.6, 2 4 4
56.7, 1.624, 10.6, 4 0 0



Entry 10:
Structure and calculated PXRD pattern of Zr7Ga2Au2 (a DFT-relaxed cell (GGA-PBE, Alexandria); Cu Kα, 1.54184 Å).

Cell and atoms:
```
data_Zr7Ga2Au2
_space_group_name_H-M_alt 'C m m m'
_space_group_IT_number 65
_space_group_name_Hall '-C 2 2'
_cell_length_a 7.3867
_cell_length_b 9.8200
_cell_length_c 6.9198
_cell_angle_alpha 90.00
_cell_angle_beta 90.00
_cell_angle_gamma 90.00
loop_
_atom_site_label
_atom_site_type_symbol
_atom_site_fract_x
_atom_site_fract_y
_atom_site_fract_z
Zr1 Zr 0.0000 0.0000 0.0000
Zr2 Zr 0.0000 0.5000 0.2640
Zr3 Zr 0.2500 0.2500 0.2753
Ga1 Ga 0.0000 0.2888 0.0000
Au1 Au 0.1793 0.0000 0.5000
```

Peak list (10 most intense, 5° ≤ 2θ ≤ 70°, in order of rising 2θ)
2θ/deg, d (Å), Rel. int., index
12.8, 6.920, 28.7, 0 0 1
22.2, 4.004, 50.5, 0 2 1
27.4, 3.258, 58.3, 2 0 1
29.9, 2.986, 60.6, 1 1 2
31.6, 2.828, 39.7, 0 2 2
36.6, 2.455, 61.1, 0 4 0
39.8, 2.263, 44.8, 1 3 2
39.9, 2.258, 31.9, 3 1 1
40.2, 2.245, 100.0, 2 2 2
48.1, 1.893, 31.1, 3 3 1



Entry 11:
Structure and calculated PXRD pattern of Zr2Ga4Au (a DFT-relaxed cell (GGA-PBE, Alexandria); Cu Kα, 1.54184 Å).

Cell and atoms:
```
data_Zr2Ga4Au
_space_group_name_H-M_alt 'F m m 2'
_space_group_IT_number 42
_space_group_name_Hall 'F 2 -2'
_cell_length_a 8.2132
_cell_length_b 8.2398
_cell_length_c 8.1150
_cell_angle_alpha 90.00
_cell_angle_beta 90.00
_cell_angle_gamma 90.00
loop_
_atom_site_label
_atom_site_type_symbol
_atom_site_fract_x
_atom_site_fract_y
_atom_site_fract_z
Zr1 Zr 0.2500 0.2500 0.0000
Ga1 Ga 0.0000 0.2494 0.2501
Ga2 Ga 0.2495 0.0000 0.7499
Au1 Au 0.0000 0.0000 0.0000
```

Peak list (10 most intense, 5° ≤ 2θ ≤ 70°, in order of rising 2θ)
2θ/deg, d (Å), Rel. int., index
18.8, 4.728, 48.9, 1 1 1
36.3, 2.477, 19.6, 3 1 1
36.6, 2.453, 9.5, 1 1 3
38.1, 2.364, 100.0, 2 2 2
44.0, 2.060, 16.6, 0 4 0
44.1, 2.053, 16.4, 4 0 0
44.7, 2.029, 15.8, 0 0 4
64.0, 1.454, 10.6, 4 4 0
64.5, 1.445, 10.4, 0 4 4
64.6, 1.443, 10.3, 4 0 4



Entry 12:
Structure and calculated PXRD pattern of Zr6GaAu3 (a DFT-relaxed cell (GGA-PBE, Alexandria); Cu Kα, 1.54184 Å).

Cell and atoms:
```
data_Zr6GaAu3
_space_group_name_H-M_alt 'P n n m'
_space_group_IT_number 58
_cell_length_a 8.4911
_cell_length_b 10.8828
_cell_length_c 4.6474
_cell_angle_alpha 90.00
_cell_angle_beta 90.00
_cell_angle_gamma 90.00
loop_
_space_group_symop_operation_xyz
'x,y,z'
'-x,-y,-z'
'-x,-y,z'
'x,y,-z'
'x+1/2,-y+1/2,-z+1/2'
'-x+1/2,y+1/2,z+1/2'
'-x+1/2,y+1/2,-z+1/2'
'x+1/2,-y+1/2,z+1/2'
loop_
_atom_site_label
_atom_site_type_symbol
_atom_site_fract_x
_atom_site_fract_y
_atom_site_fract_z
Zr1 Zr 0.0070 0.2478 0.0000
Zr2 Zr 0.1635 0.0836 0.5000
Zr3 Zr 0.1794 0.4177 0.5000
Ga1 Ga 0.0000 0.0000 0.0000
Au1 Au 0.0000 0.5000 0.0000
Au2 Au 0.1675 0.7478 0.5000
```

Peak list (10 most intense, 5° ≤ 2θ ≤ 70°, in order of rising 2θ)
2θ/deg, d (Å), Rel. int., index
23.3, 3.818, 14.9, 1 1 1
32.5, 2.758, 39.0, 2 3 0
32.9, 2.721, 21.1, 0 4 0
33.1, 2.710, 85.6, 1 3 1
37.2, 2.417, 100.0, 3 0 1
38.8, 2.324, 45.1, 0 0 2
49.8, 1.832, 14.9, 4 3 0
50.5, 1.807, 25.6, 3 4 1
51.4, 1.777, 21.2, 2 3 2
69.1, 1.359, 19.3, 3 0 3



Entry 13:
Structure and calculated PXRD pattern of Zr2GaAu3 (a DFT-relaxed cell (GGA-PBE, Alexandria); Cu Kα, 1.54184 Å).

Cell and atoms:
```
data_Zr2GaAu3
_space_group_name_H-M_alt 'P m m 2'
_space_group_IT_number 25
_cell_length_a 2.9956
_cell_length_b 4.6493
_cell_length_c 8.0743
_cell_angle_alpha 90.00
_cell_angle_beta 90.00
_cell_angle_gamma 90.00
loop_
_space_group_symop_operation_xyz
'x,y,z'
'-x,-y,z'
'-x,y,z'
'x,-y,z'
loop_
_atom_site_label
_atom_site_type_symbol
_atom_site_fract_x
_atom_site_fract_y
_atom_site_fract_z
Zr1 Zr 0.0000 0.0000 0.0000
Zr2 Zr 0.0000 0.5000 0.4855
Ga1 Ga 0.5000 0.5000 0.8207
Au1 Au 0.5000 0.0000 0.3305
Au2 Au 0.5000 0.0000 0.6725
Au3 Au 0.5000 0.5000 0.1463
```

Peak list (10 most intense, 5° ≤ 2θ ≤ 70°, in order of rising 2θ)
2θ/deg, d (Å), Rel. int., index
11.0, 8.074, 9.3, 0 0 1
22.0, 4.032, 17.9, 0 1 1
29.8, 2.996, 21.4, 1 0 0
37.4, 2.405, 86.1, 1 1 1
38.7, 2.328, 100.0, 0 2 0
49.6, 1.838, 31.7, 1 2 0
54.9, 1.672, 27.6, 1 0 4
62.0, 1.498, 8.6, 2 0 0
69.1, 1.359, 17.3, 1 2 4
69.2, 1.357, 9.5, 1 3 1